This entry pairs a crystal structure of Na2BiWO6 with its calculated PXRD pattern. Radiation: CuKα. Structure: DFT lattice parameters and positions (GGA+U).
No peak broadening, texture or thermal motion is included.

The 6 most intense peaks (10° ≤ 2θ ≤ 90°), by intensity:
2θ 31.1, intensity 100.0
2θ 21.9, intensity 95.9
2θ 55.4, intensity 46.3
2θ 50.2, intensity 43.8
2θ 44.6, intensity 27.0
2θ 69.4, intensity 19.9

Structural model:
a b c (Å): 5.7468 5.7468 14.0855
angles (deg): 90.00 90.00 120.00
Space group R-3 (No. 148, hexagonal axes)
Asymmetric unit:
Na (0.0000, 0.0000, 0.2371) [6 per cell]
Bi (0.0000, 0.0000, 0.5000) [3 per cell]
W (0.0000, 0.0000, 0.0000) [3 per cell]
O (0.0319, 0.4206, 0.7466) [18 per cell]